(1)
For VS, a PBE-relaxed structure gives the theoretical powder X-ray diffraction pattern in this record (λ = 1.5418 Å (Cu Kα)).
Neutral-atom scattering factors, no anomalous dispersion.

Largest 10 diffraction maxima, in order of falling intensity, 5 to 70 degrees two-theta:
two_theta  I_rel
44.3  100
49.7  53
28.1  48
32.8  46
68.8  24
59.5  7
60.8  6
58.1  5
33.6  3
61.3  2

Crystal structure
```
data_VS
_chemical_formula_sum 'V2 S2'
_cell_length_a 3.6693
_cell_length_b 3.6693
_cell_length_c 5.3387
_cell_angle_alpha 90.00
_cell_angle_beta 90.00
_cell_angle_gamma 120.00
_symmetry_space_group_name_H-M 'P 63/m m c'
_symmetry_Int_Tables_number 194
_symmetry_space_group_name_Hall '-P 6c 2c'
loop_
_atom_site_label
_atom_site_type_symbol
_atom_site_fract_x
_atom_site_fract_y
_atom_site_fract_z
V1 V 0.0000 0.0000 0.0000
S1 S 0.3333 0.6667 0.2500
```


(2)
For LaYAl4, a PBE-relaxed structure gives the theoretical powder X-ray diffraction pattern in this record (λ = 1.5418 Å (Cu Kα)).
Neutral-atom scattering factors, no anomalous dispersion.

Largest 10 diffraction maxima, in order of falling intensity, 5 to 70 degrees two-theta:
two_theta  I_rel
37.2  100
31.5  86
19.2  45
56.2  33
59.9  32
65.9  22
49.5  12
38.9  9
69.3  8
45.2  4

Crystal structure
```
data_LaYAl4
_chemical_formula_sum 'La4 Y4 Al16'
_cell_length_a 8.0226
_cell_length_b 8.0226
_cell_length_c 8.0226
_cell_angle_alpha 90.00
_cell_angle_beta 90.00
_cell_angle_gamma 90.00
_symmetry_space_group_name_H-M 'F -4 3 m'
_symmetry_Int_Tables_number 216
_symmetry_space_group_name_Hall 'F -4 2 3'
loop_
_atom_site_label
_atom_site_type_symbol
_atom_site_fract_x
_atom_site_fract_y
_atom_site_fract_z
La1 La 0.0000 0.0000 0.0000
Y1 Y 0.2500 0.2500 0.7500
Al1 Al 0.1250 0.1250 0.3750
```


(3)
For Ba4Y2Cu5PdO14, a PBE-relaxed structure gives the theoretical powder X-ray diffraction pattern in this record (λ = 1.5418 Å (Cu Kα)).
Neutral-atom scattering factors, no anomalous dispersion.

Largest 10 diffraction maxima, in order of falling intensity, 5 to 70 degrees two-theta:
two_theta  I_rel
32.4  100
32.5  97
32.0  90
57.4  38
58.1  33
57.2  32
46.0  30
47.1  28
39.8  18
68.0  17

Crystal structure
```
data_Ba4Y2Cu5PdO14
_chemical_formula_sum 'Ba16 Y8 Cu20 Pd4 O56'
_cell_length_a 7.7158
_cell_length_b 7.8845
_cell_length_c 23.8269
_cell_angle_alpha 90.00
_cell_angle_beta 90.00
_cell_angle_gamma 90.00
_symmetry_space_group_name_H-M 'F m m m'
_symmetry_Int_Tables_number 69
_symmetry_space_group_name_Hall '-F 2 2'
loop_
_atom_site_label
_atom_site_type_symbol
_atom_site_fract_x
_atom_site_fract_y
_atom_site_fract_z
Ba1 Ba 0.2500 0.2500 0.0922
Y1 Y 0.2500 0.2500 0.2500
Cu1 Cu 0.0000 0.0000 0.0000
Cu2 Cu 0.0000 0.0000 0.1783
Cu3 Cu 0.0000 0.0000 0.3215
Pd1 Pd 0.0000 0.0000 0.5000
O1 O 0.0000 0.0000 0.0801
O2 O 0.0000 0.0000 0.4152
O3 O 0.0000 0.2403 0.0000
O4 O 0.0000 0.2494 0.1898
O5 O 0.2493 0.0000 0.1900
```


(4)
For SiO2, a PBE-relaxed structure gives the theoretical powder X-ray diffraction pattern in this record (λ = 1.5418 Å (Cu Kα)).
Neutral-atom scattering factors, no anomalous dispersion.

Largest 10 diffraction maxima, in order of falling intensity, 5 to 70 degrees two-theta:
two_theta  I_rel
10.0  100
11.1  26
19.5  21
26.2  16
19.3  14
15.5  13
22.7  12
26.1  11
25.9  10
13.2  8

Crystal structure
```
data_SiO2
_chemical_formula_sum 'Si18 O36'
_cell_length_a 7.4706
_cell_length_b 8.8530
_cell_length_c 17.4313
_cell_angle_alpha 90.00
_cell_angle_beta 114.19
_cell_angle_gamma 90.00
_symmetry_space_group_name_H-M 'P 1 2/c 1'
_symmetry_Int_Tables_number 13
_symmetry_space_group_name_Hall '-P 2yc'
loop_
_atom_site_label
_atom_site_type_symbol
_atom_site_fract_x
_atom_site_fract_y
_atom_site_fract_z
Si1 Si 0.0000 0.0037 0.2500
Si2 Si 0.0647 0.3253 0.0093
Si3 Si 0.2707 0.1543 0.9201
Si4 Si 0.2890 0.1486 0.1793
Si5 Si 0.3101 0.1036 0.5557
O1 O 0.0000 0.5000 0.0000
O2 O 0.1269 0.1106 0.8250
O3 O 0.1316 0.2221 0.5294
O4 O 0.1405 0.1143 0.2242
O5 O 0.1926 0.3009 0.9535
O6 O 0.1948 0.2791 0.1075
O7 O 0.2745 0.0094 0.9778
O8 O 0.3228 0.0075 0.6372
O9 O 0.4863 0.1946 0.9234
O10 O 0.5000 0.2063 0.2500
```